Calculated powder diffraction line list
Compound: ZrBiPtO6
Radiation: Cu Kα (weighted mean of Kα1 and Kα2)
Structure: a cell relaxed with PBE
Intensities are scaled so that the largest is 100.

Principal peaks in the range 2θ from 10° to 80°, in order of rising 2θ:
20.1 deg, I = 15, (1 0 1)
25.5 deg, I = 100, (1 1 0)
32.4 deg, I = 89, (1 0 3)
36.4 deg, I = 27, (2 0 0)
49.5 deg, I = 69, (2 1 3)
52.4 deg, I = 16, (2 2 0)
59.2 deg, I = 17, (3 1 0)
61.7 deg, I = 17, (1 1 6)
63.0 deg, I = 20, (3 0 3)
75.0 deg, I = 16, (3 2 3)

Atomic structure:
```
18
Lattice="4.9365 0.0000 0.0000 0.0000 4.9365 0.0000 0.0000 0.0000 9.9998" Properties=species:S:1:pos:R:3 pbc="T T T"
Zr 0.0000 0.0000 0.0000
Zr 2.4682 2.4682 4.9999
Bi 0.0000 0.0000 6.7083
Bi 2.4682 2.4682 1.7084
Pt 0.0000 0.0000 3.3807
Pt 2.4682 2.4682 8.3806
O 0.8698 0.8698 1.7540
O 0.9542 0.9542 4.8894
O 1.0395 1.0395 8.4920
O 1.4287 3.5078 3.4921
O 1.5140 3.4225 9.8892
O 1.5984 3.3381 6.7539
O 3.3381 1.5984 6.7539
O 3.4225 1.5140 9.8892
O 3.5078 1.4287 3.4921
O 3.8970 3.8970 8.4920
O 3.9822 3.9822 4.8894
O 4.0667 4.0667 1.7540
```